No. 1
# Ca3Cd
Calculated X-ray powder pattern, Cu Ka. Input: the PBE geometry in the Materials Project.
Lines closer than 0.1° are merged.

Unit cell a=5.160 b=5.160 c=5.160 alpha=90.00 beta=90.00 gamma=90.00
Element x y z (fractional)
1 Ca 0.000 0.000 0.500
2 Ca 0.000 0.500 0.000
3 Ca 0.500 0.000 0.000
4 Cd 0.500 0.500 0.500

Principal peaks in the range 5 to 70 degrees two-theta, by angle:
17.19 deg, d 5.160, intensity 24
24.40 deg, d 3.648, intensity 22
30.00 deg, d 2.979, intensity 100
34.77 deg, d 2.580, intensity 50
39.03 deg, d 2.307, intensity 13
42.94 deg, d 2.106, intensity 10
50.00 deg, d 1.824, intensity 33
53.26 deg, d 1.720, intensity 7
59.41 deg, d 1.556, intensity 38
62.34 deg, d 1.489, intensity 11


No. 2
# Ca3Cd2
Calculated X-ray powder pattern, Cu Ka. Input: the PBE geometry in the Materials Project.
Lines closer than 0.1° are merged.

Unit cell a=8.904 b=8.904 c=7.985 alpha=90.00 beta=90.00 gamma=90.00
Element x y z (fractional)
1 Ca 0.000 0.500 0.250
2 Ca 0.000 0.500 0.750
3 Ca 0.146 0.146 0.000
4 Ca 0.197 0.197 0.500
5 Ca 0.303 0.697 0.000
6 Ca 0.354 0.646 0.500
7 Ca 0.500 0.000 0.250
8 Ca 0.500 0.000 0.750
9 Ca 0.646 0.354 0.500
10 Ca 0.697 0.303 0.000
11 Ca 0.803 0.803 0.500
12 Ca 0.854 0.854 0.000
13 Cd 0.125 0.875 0.302
14 Cd 0.125 0.875 0.698
15 Cd 0.375 0.375 0.198
16 Cd 0.375 0.375 0.802
17 Cd 0.625 0.625 0.198
18 Cd 0.625 0.625 0.802
19 Cd 0.875 0.125 0.302
20 Cd 0.875 0.125 0.698

Principal peaks in the range 5 to 70 degrees two-theta, by angle:
14.07 deg, d 6.296, intensity 28
22.31 deg, d 3.985, intensity 36
31.75 deg, d 2.818, intensity 100
35.19 deg, d 2.550, intensity 15
36.38 deg, d 2.470, intensity 17
40.53 deg, d 2.226, intensity 11
43.08 deg, d 2.100, intensity 17
44.58 deg, d 2.032, intensity 11
58.68 deg, d 1.573, intensity 10
62.78 deg, d 1.480, intensity 12


No. 3
# CaCd2
Calculated X-ray powder pattern, Cu Ka. Input: the PBE geometry in the Materials Project.
Lines closer than 0.1° are merged.

Unit cell a=6.106 b=6.106 c=9.630 alpha=90.00 beta=90.00 gamma=120.00
Element x y z (fractional)
1 Ca 0.333 0.667 0.060
2 Ca 0.333 0.667 0.440
3 Ca 0.667 0.333 0.560
4 Ca 0.667 0.333 0.940
5 Cd 0.000 0.000 0.000
6 Cd 0.000 0.000 0.500
7 Cd 0.171 0.342 0.750
8 Cd 0.171 0.829 0.750
9 Cd 0.342 0.171 0.250
10 Cd 0.658 0.829 0.750
11 Cd 0.829 0.171 0.250
12 Cd 0.829 0.658 0.250

Principal peaks in the range 5 to 70 degrees two-theta, by angle:
16.77 deg, d 5.288, intensity 41
19.15 deg, d 4.635, intensity 26
32.63 deg, d 2.744, intensity 35
34.79 deg, d 2.578, intensity 83
35.20 deg, d 2.550, intensity 100
37.35 deg, d 2.408, intensity 29
38.86 deg, d 2.318, intensity 47
44.39 deg, d 2.041, intensity 26
59.37 deg, d 1.557, intensity 26
60.67 deg, d 1.526, intensity 26


No. 4
# CaCd3
Calculated X-ray powder pattern, Cu Ka. Input: the PBE geometry in the Materials Project.
Lines closer than 0.1° are merged.

Unit cell a=6.758 b=6.758 c=5.093 alpha=90.00 beta=90.00 gamma=120.00
Element x y z (fractional)
1 Ca 0.333 0.667 0.250
2 Ca 0.667 0.333 0.750
3 Cd 0.160 0.320 0.750
4 Cd 0.160 0.840 0.750
5 Cd 0.320 0.160 0.250
6 Cd 0.680 0.840 0.750
7 Cd 0.840 0.160 0.250
8 Cd 0.840 0.680 0.250

Principal peaks in the range 5 to 70 degrees two-theta, by angle:
15.14 deg, d 5.853, intensity 10
23.15 deg, d 3.842, intensity 7
30.55 deg, d 2.926, intensity 25
35.24 deg, d 2.547, intensity 23
35.37 deg, d 2.537, intensity 100
44.66 deg, d 2.029, intensity 6
47.32 deg, d 1.921, intensity 14
54.30 deg, d 1.690, intensity 18
63.33 deg, d 1.469, intensity 17
66.44 deg, d 1.407, intensity 33


No. 5
# CaCd2
Calculated X-ray powder pattern, Cu Ka. Input: the PBE geometry in the Materials Project.
Lines closer than 0.1° are merged.

Unit cell a=5.031 b=7.335 c=8.693 alpha=90.00 beta=90.00 gamma=90.00
Element x y z (fractional)
1 Ca 0.000 0.250 0.025
2 Ca 0.000 0.750 0.975
3 Ca 0.500 0.250 0.475
4 Ca 0.500 0.750 0.525
5 Cd 0.000 0.030 0.666
6 Cd 0.000 0.470 0.666
7 Cd 0.000 0.530 0.334
8 Cd 0.000 0.970 0.334
9 Cd 0.500 0.030 0.834
10 Cd 0.500 0.470 0.834
11 Cd 0.500 0.530 0.166
12 Cd 0.500 0.970 0.166

Principal peaks in the range 5 to 70 degrees two-theta, by angle:
20.41 deg, d 4.352, intensity 30
24.27 deg, d 3.668, intensity 37
31.91 deg, d 2.804, intensity 83
35.74 deg, d 2.512, intensity 100
38.24 deg, d 2.354, intensity 10
43.67 deg, d 2.073, intensity 48
48.66 deg, d 1.871, intensity 23
61.79 deg, d 1.501, intensity 15
62.73 deg, d 1.481, intensity 21
64.17 deg, d 1.451, intensity 11


No. 6
# CaCd2Cl6O6
Calculated X-ray powder pattern, Cu Ka. Input: the PBE geometry in the Materials Project.
Lines closer than 0.1° are merged.

Unit cell a=8.135 b=9.169 c=9.656 alpha=77.51 beta=89.30 gamma=78.58
Element x y z (fractional)
1 Ca 0.174 0.122 0.141
2 Ca 0.826 0.878 0.859
3 Cd 0.152 0.454 0.684
4 Cd 0.366 0.568 0.308
5 Cd 0.634 0.432 0.692
6 Cd 0.848 0.546 0.316
7 Cl 0.094 0.660 0.445
8 Cl 0.131 0.398 0.209
9 Cl 0.190 0.198 0.870
10 Cl 0.267 0.831 0.120
11 Cl 0.378 0.536 0.821
12 Cl 0.415 0.329 0.538
13 Cl 0.585 0.671 0.462
14 Cl 0.622 0.464 0.179
15 Cl 0.733 0.169 0.880
16 Cl 0.810 0.802 0.130
17 Cl 0.869 0.602 0.791
18 Cl 0.906 0.340 0.555
19 O 0.059 0.999 0.717
20 O 0.142 0.865 0.747
21 O 0.190 0.046 0.525
22 O 0.273 0.915 0.550
23 O 0.495 0.161 0.173
24 O 0.499 0.026 0.236
25 O 0.501 0.974 0.764
26 O 0.505 0.839 0.827
27 O 0.727 0.085 0.450
28 O 0.810 0.954 0.475
29 O 0.858 0.135 0.253
30 O 0.941 0.001 0.283

Principal peaks in the range 5 to 70 degrees two-theta, by angle:
9.39 deg, d 9.423, intensity 27
10.08 deg, d 8.771, intensity 100
12.19 deg, d 7.258, intensity 65
18.84 deg, d 4.711, intensity 36
20.25 deg, d 4.386, intensity 26
20.39 deg, d 4.356, intensity 37
23.30 deg, d 3.818, intensity 27
23.93 deg, d 3.718, intensity 42
30.76 deg, d 2.907, intensity 83
30.90 deg, d 2.894, intensity 63


No. 7
# NaCaYCdF8
Calculated X-ray powder pattern, Cu Ka. Input: the PBE geometry in the Materials Project.
Lines closer than 0.1° are merged.

Unit cell a=6.711 b=6.711 c=6.711 alpha=131.57 beta=131.57 gamma=70.91
Element x y z (fractional)
1 Na 0.000 0.000 0.000
2 Ca 0.750 0.250 0.500
3 Y 0.500 0.500 0.000
4 Cd 0.250 0.750 0.500
5 F 0.136 0.136 0.520
6 F 0.136 0.615 0.000
7 F 0.385 0.384 0.520
8 F 0.385 0.864 0.000
9 F 0.616 0.136 0.000
10 F 0.616 0.615 0.480
11 F 0.864 0.384 0.000
12 F 0.864 0.864 0.480

Principal peaks in the range 5 to 70 degrees two-theta, by angle:
18.04 deg, d 4.917, intensity 42
28.14 deg, d 3.171, intensity 100
29.39 deg, d 3.039, intensity 10
37.44 deg, d 2.402, intensity 11
44.40 deg, d 2.040, intensity 8
46.66 deg, d 1.946, intensity 28
46.84 deg, d 1.940, intensity 56
55.38 deg, d 1.659, intensity 28
55.69 deg, d 1.650, intensity 14
68.13 deg, d 1.376, intensity 8


No. 8
# Ca3Cd2Ga4
Calculated X-ray powder pattern, Cu Ka. Input: the PBE geometry in the Materials Project.
Lines closer than 0.1° are merged.

Unit cell a=5.987 b=5.987 c=16.790 alpha=103.60 beta=103.60 gamma=46.24
Element x y z (fractional)
1 Ca 0.000 0.000 0.000
2 Ca 0.219 0.219 0.857
3 Ca 0.330 0.330 0.660
4 Ca 0.551 0.551 0.522
5 Ca 0.664 0.664 0.330
6 Ca 0.885 0.885 0.189
7 Cd 0.183 0.183 0.189
8 Cd 0.520 0.520 0.859
9 Cd 0.847 0.847 0.520
10 Cd 0.894 0.894 0.796
11 Ga 0.039 0.039 0.666
12 Ga 0.228 0.228 0.460
13 Ga 0.319 0.319 0.056
14 Ga 0.369 0.369 0.337
15 Ga 0.564 0.564 0.128
16 Ga 0.641 0.641 0.718
17 Ga 0.706 0.706 0.006
18 Ga 0.984 0.984 0.388

Principal peaks in the range 5 to 70 degrees two-theta, by angle:
21.92 deg, d 4.055, intensity 26
23.94 deg, d 3.718, intensity 41
31.84 deg, d 2.810, intensity 30
32.57 deg, d 2.750, intensity 78
32.80 deg, d 2.730, intensity 43
33.11 deg, d 2.705, intensity 23
37.84 deg, d 2.378, intensity 24
38.17 deg, d 2.358, intensity 23
38.28 deg, d 2.351, intensity 59
38.78 deg, d 2.322, intensity 100


No. 9
# Ca20Cd3Ga9
Calculated X-ray powder pattern, Cu Ka. Input: the PBE geometry in the Materials Project.
Lines closer than 0.1° are merged.

Unit cell a=8.103 b=8.103 c=14.739 alpha=90.00 beta=90.00 gamma=90.00
Element x y z (fractional)
1 Ca 0.000 0.000 0.247
2 Ca 0.000 0.000 0.753
3 Ca 0.166 0.319 0.106
4 Ca 0.166 0.681 0.894
5 Ca 0.171 0.328 0.391
6 Ca 0.171 0.672 0.609
7 Ca 0.319 0.166 0.894
8 Ca 0.319 0.834 0.106
9 Ca 0.328 0.171 0.609
10 Ca 0.328 0.829 0.391
11 Ca 0.500 0.500 0.247
12 Ca 0.500 0.500 0.753
13 Ca 0.672 0.171 0.391
14 Ca 0.672 0.829 0.609
15 Ca 0.681 0.166 0.106
16 Ca 0.681 0.834 0.894
17 Ca 0.829 0.328 0.609
18 Ca 0.829 0.672 0.391
19 Ca 0.834 0.319 0.894
20 Ca 0.834 0.681 0.106
21 Cd 0.000 0.000 0.500
22 Cd 0.500 0.500 0.000
23 Cd 0.500 0.500 0.500
24 Ga 0.000 0.000 0.000
25 Ga 0.115 0.387 0.751
26 Ga 0.115 0.613 0.249
27 Ga 0.387 0.115 0.249
28 Ga 0.387 0.885 0.751
29 Ga 0.613 0.115 0.751
30 Ga 0.613 0.885 0.249
31 Ga 0.885 0.387 0.249
32 Ga 0.885 0.613 0.751

Principal peaks in the range 5 to 70 degrees two-theta, by angle:
19.63 deg, d 4.523, intensity 65
30.66 deg, d 2.916, intensity 100
31.22 deg, d 2.865, intensity 23
32.86 deg, d 2.726, intensity 62
35.02 deg, d 2.562, intensity 66
39.40 deg, d 2.287, intensity 18
39.91 deg, d 2.259, intensity 22
40.61 deg, d 2.222, intensity 19
62.05 deg, d 1.496, intensity 19
63.79 deg, d 1.459, intensity 23